Record 1
Simulated powder diffraction line list
Compound: FePH5CO4
Radiation: Cu Kα
Structure: a crystal structure in the Materials Project, relaxed with GGA+U
Lines closer than 0.1° are merged.

Cell and atoms:
abc: 5.800 4.846 9.043
angles: 90.00 90.43 90.00
Positions (direct):
Fe1 0.249 0.000 0.474
Fe2 0.751 0.500 0.526
P1 0.254 0.565 0.689
P2 0.746 0.065 0.311
H1 0.095 0.546 0.935
H2 0.113 0.574 0.302
H3 0.250 0.859 0.902
H4 0.383 0.566 0.303
H5 0.403 0.545 0.937
H6 0.597 0.045 0.063
H7 0.617 0.066 0.697
H8 0.750 0.359 0.098
H9 0.887 0.074 0.698
H10 0.905 0.046 0.065
C1 0.249 0.635 0.885
C2 0.751 0.135 0.115
O1 0.044 0.717 0.615
O2 0.248 0.253 0.665
O3 0.251 0.692 0.294
O4 0.473 0.706 0.624
O5 0.527 0.206 0.376
O6 0.749 0.192 0.706
O7 0.752 0.753 0.335
O8 0.956 0.217 0.385

Principal peaks in the range 2θ = 10–90°, by angle:
d 4.271, 2θ = 20.8°, I 59; d 3.439, 2θ = 25.9°, I 100; d 2.900, 2θ = 30.8°, I 68; d 2.879, 2θ = 31.1°, I 79; d 2.865, 2θ = 31.2°, I 85; d 2.337, 2θ = 38.5°, I 52

***

Record 2
Simulated powder diffraction line list
Compound: Na3MnO3
Radiation: Cu Kα
Structure: a crystal structure in the Materials Project, relaxed with GGA+U
Lines closer than 0.1° are merged.

Cell and atoms:
abc: 9.712 9.712 4.362
angles: 90.00 90.00 90.00
Positions (direct):
Na1 0.118 0.366 0.000
Na2 0.134 0.618 0.500
Na3 0.160 0.160 0.500
Na4 0.340 0.660 0.000
Na5 0.366 0.118 0.000
Na6 0.382 0.866 0.500
Na7 0.618 0.134 0.500
Na8 0.634 0.882 0.000
Na9 0.660 0.340 0.000
Na10 0.840 0.840 0.500
Na11 0.866 0.382 0.500
Na12 0.882 0.634 0.000
Mn1 0.110 0.890 0.000
Mn2 0.390 0.390 0.500
Mn3 0.610 0.610 0.500
Mn4 0.890 0.110 0.000
O1 0.094 0.094 0.000
O2 0.105 0.696 0.000
O3 0.196 0.395 0.500
O4 0.304 0.895 0.000
O5 0.395 0.196 0.500
O6 0.406 0.594 0.500
O7 0.594 0.406 0.500
O8 0.605 0.804 0.500
O9 0.696 0.105 0.000
O10 0.804 0.605 0.500
O11 0.895 0.304 0.000
O12 0.906 0.906 0.000

Principal peaks in the range 2θ = 10–90°, by angle:
d 3.979, 2θ = 22.3°, I 100; d 2.698, 2θ = 33.2°, I 93; d 2.428, 2θ = 37.0°, I 81; d 2.181, 2θ = 41.4°, I 48; d 1.774, 2θ = 51.5°, I 40; d 1.623, 2θ = 56.7°, I 41

***

Record 3
Simulated powder diffraction line list
Compound: K4MgMo2S2O6
Radiation: Cu Kα
Structure: a crystal structure in the Materials Project, relaxed with GGA+U
Lines closer than 0.1° are merged.

Cell and atoms:
abc: 6.820 6.820 8.728
angles: 103.92 103.92 56.80
Positions (direct):
K1 0.026 0.026 0.338
K2 0.295 0.320 0.697
K3 0.680 0.705 0.303
K4 0.974 0.974 0.662
Mg1 0.246 0.754 0.000
Mo1 0.332 0.372 0.277
Mo2 0.628 0.668 0.723
S1 0.163 0.173 0.088
S2 0.827 0.837 0.912
O1 0.117 0.585 0.414
O2 0.363 0.572 0.176
O3 0.415 0.883 0.586
O4 0.428 0.637 0.824
O5 0.601 0.144 0.375
O6 0.856 0.399 0.625

Principal peaks in the range 2θ = 10–90°, by angle:
d 5.012, 2θ = 17.7°, I 61; d 4.198, 2θ = 21.2°, I 56; d 3.309, 2θ = 26.9°, I 66; d 3.244, 2θ = 27.5°, I 65; d 2.959, 2θ = 30.2°, I 100; d 2.858, 2θ = 31.3°, I 77

***

Record 4
Simulated powder diffraction line list
Compound: FeOF
Radiation: Cu Kα
Structure: a crystal structure in the Materials Project, relaxed with GGA+U
Lines closer than 0.1° are merged.

Cell and atoms:
abc: 9.638 3.143 14.398
angles: 90.00 90.16 90.00
Positions (direct):
Fe1 0.000 0.000 0.000
Fe2 0.002 0.000 0.323
Fe3 0.213 0.500 0.832
Fe4 0.220 0.500 0.487
Fe5 0.226 0.500 0.159
Fe6 0.469 0.000 0.306
Fe7 0.476 0.000 0.010
Fe8 0.497 0.000 0.660
Fe9 0.709 0.500 0.160
Fe10 0.720 0.500 0.498
Fe11 0.728 0.500 0.817
Fe12 0.950 0.000 0.655
O1 0.075 0.500 0.390
O2 0.078 0.500 0.058
O3 0.127 0.000 0.887
O4 0.132 0.000 0.221
O5 0.321 0.000 0.095
O6 0.374 0.500 0.259
O7 0.569 0.500 0.726
O8 0.575 0.500 0.056
O9 0.625 0.000 0.554
O10 0.634 0.000 0.224
O11 0.826 0.000 0.764
O12 0.880 0.500 0.588
F1 0.077 0.500 0.720
F2 0.132 0.000 0.564
F3 0.318 0.000 0.757
F4 0.335 0.000 0.428
F5 0.373 0.500 0.593
F6 0.379 0.500 0.923
F7 0.570 0.500 0.387
F8 0.627 0.000 0.892
F9 0.819 0.000 0.421
F10 0.828 0.000 0.094
F11 0.877 0.500 0.933
F12 0.882 0.500 0.257

Principal peaks in the range 2θ = 10–90°, by angle:
d 3.401, 2θ = 26.2°, I 100; d 2.631, 2θ = 34.1°, I 55; d 2.308, 2θ = 39.0°, I 17; d 1.776, 2θ = 51.5°, I 44; d 1.772, 2θ = 51.6°, I 15; d 1.426, 2θ = 65.4°, I 23